This entry pairs a crystal structure of La3CoWS3O6 with its simulated powder diffraction line list. Radiation: Cu Kα, 1.54184 Å. Structure: DFT lattice parameters and positions (GGA+U).
Kinematic intensities with the Lorentz-polarization factor, no thermal factor.

Cell and atoms:
abc: 9.4329 9.4329 5.5796
angles: 90.00 90.00 120.00
Space group P6_3/m (No. 176)
Unique sites:
La 0.0893 0.6849 0.2500 (multiplicity 6)
Co 0.0000 0.0000 0.0000 (multiplicity 2)
W 0.3333 0.6667 0.7500 (multiplicity 2)
S 0.0440 0.8322 0.7500 (multiplicity 6)
O 0.1603 0.5245 0.5233 (multiplicity 12)

Top 10 peaks for 2θ from 10° to 80°, sorted by position:
hkl 1 1 1, 2θ 24.7, d 3.602, I = 62.3; hkl 2 0 1, 2θ 27.1, d 3.296, I = 64.5; hkl 2 1 0, 2θ 28.9, d 3.088, I = 30.7; hkl 0 0 2, 2θ 32.1, d 2.790, I = 25.3; hkl 3 0 0, 2θ 32.9, d 2.723, I = 25.8; hkl 1 2 1, 2θ 33.2, d 2.702, I = 100.0; hkl 1 2 2, 2θ 43.7, d 2.070, I = 41.8; hkl 1 4 0, 2θ 51.2, d 1.783, I = 22.3; hkl 3 2 1, 2θ 51.4, d 1.777, I = 33.0; hkl 1 2 3, 2θ 57.9, d 1.593, I = 20.9